No. 1
Diffraction record for TbTmZr. The powder diffraction line list is simulated, not measured: it uses a DFT-relaxed cell (GGA-PBE, Alexandria) and Cu Kα (λ = 1.5418 Å).

Cell and atoms:
```
data_TbTmZr
_cell_length_a 6.732
_cell_length_b 5.355
_cell_length_c 9.274
_cell_angle_alpha 90.00
_cell_angle_beta 90.00
_cell_angle_gamma 90.00
_symmetry_space_group_name_H-M 'P 1'
_symmetry_Int_Tables_number 1
loop_
_symmetry_equiv_pos_as_xyz
'x,y,z'
loop_
_atom_site_label
_atom_site_fract_x
_atom_site_fract_y
_atom_site_fract_z
Tb1 0.000 0.000 0.000
Tb2 0.000 0.500 0.500
Tb3 0.500 0.000 0.000
Tb4 0.500 0.500 0.500
Tm1 0.250 0.001 0.667
Tm2 0.250 0.501 0.167
Tm3 0.750 0.499 0.167
Tm4 0.750 0.999 0.667
Zr1 0.250 0.001 0.333
Zr2 0.250 0.501 0.833
Zr3 0.750 0.499 0.833
Zr4 0.750 0.999 0.333
```

Principal peaks in the range 2θ = 15–90°, low angle first:
| Position (°2θ) | d [Å] | I (rel.) |
| --- | --- | --- |
| 19.1 | 4.637 | 10.0 |
| 32.9 | 2.724 | 100.0 |
| 33.5 | 2.677 | 95.9 |
| 47.6 | 1.909 | 35.6 |
| 54.5 | 1.683 | 8.0 |
| 59.5 | 1.555 | 36.7 |
| 59.8 | 1.546 | 18.0 |
| 65.5 | 1.425 | 27.3 |
| 70.3 | 1.339 | 11.1 |
| 79.8 | 1.201 | 15.7 |
| 85.2 | 1.138 | 13.4 |
| 89.4 | 1.096 | 6.2 |

No. 2
Diffraction record for TlAg2Os. The powder diffraction line list is simulated, not measured: it uses a DFT-relaxed cell (GGA-PBE, Alexandria) and Cu Kα (λ = 1.5418 Å).

Cell and atoms:
```
data_TlAg2Os
_cell_length_a 2.842
_cell_length_b 4.491
_cell_length_c 5.749
_cell_angle_alpha 90.00
_cell_angle_beta 90.00
_cell_angle_gamma 90.00
_symmetry_space_group_name_H-M 'P 1'
_symmetry_Int_Tables_number 1
loop_
_symmetry_equiv_pos_as_xyz
'x,y,z'
loop_
_atom_site_label
_atom_site_fract_x
_atom_site_fract_y
_atom_site_fract_z
Tl1 0.000 0.000 0.000
Ag1 0.500 0.500 0.267
Ag2 0.500 0.500 0.733
Os1 0.000 0.000 0.500
```

Principal peaks in the range 2θ = 15–90°, low angle first:
| Position (°2θ) | d [Å] | I (rel.) |
| --- | --- | --- |
| 19.8 | 4.491 | 16.1 |
| 37.1 | 2.421 | 100.0 |
| 37.5 | 2.401 | 99.3 |
| 40.2 | 2.245 | 40.9 |
| 44.9 | 2.021 | 58.6 |
| 61.8 | 1.502 | 44.8 |
| 71.0 | 1.328 | 14.8 |
| 71.2 | 1.324 | 14.9 |
| 77.4 | 1.233 | 22.2 |
| 78.0 | 1.225 | 22.9 |
| 79.1 | 1.210 | 10.5 |
| 79.9 | 1.201 | 10.9 |

No. 3
Diffraction record for Zn2TcB. The powder diffraction line list is simulated, not measured: it uses a DFT-relaxed cell (GGA-PBE, Alexandria) and Cu Kα (λ = 1.5418 Å).

Cell and atoms:
```
data_Zn2TcB
_cell_length_a 6.781
_cell_length_b 6.781
_cell_length_c 4.464
_cell_angle_alpha 90.00
_cell_angle_beta 90.00
_cell_angle_gamma 90.00
_symmetry_space_group_name_H-M 'P 1'
_symmetry_Int_Tables_number 1
loop_
_symmetry_equiv_pos_as_xyz
'x,y,z'
loop_
_atom_site_label
_atom_site_fract_x
_atom_site_fract_y
_atom_site_fract_z
Zn1 0.183 0.250 0.125
Zn2 0.250 0.683 0.375
Zn3 0.250 0.817 0.875
Zn4 0.317 0.250 0.625
Zn5 0.683 0.750 0.625
Zn6 0.750 0.183 0.875
Zn7 0.750 0.317 0.375
Zn8 0.817 0.750 0.125
Tc1 0.000 0.000 0.500
Tc2 0.000 0.500 0.750
Tc3 0.500 0.000 0.250
Tc4 0.500 0.500 0.000
B1 0.000 0.000 0.000
B2 0.000 0.500 0.250
B3 0.500 0.000 0.750
B4 0.500 0.500 0.500
```

Principal peaks in the range 2θ = 15–90°, low angle first:
| Position (°2θ) | d [Å] | I (rel.) |
| --- | --- | --- |
| 23.9 | 3.729 | 15.3 |
| 35.8 | 2.509 | 100.0 |
| 37.5 | 2.397 | 76.1 |
| 44.8 | 2.024 | 63.2 |
| 45.0 | 2.017 | 39.4 |
| 54.1 | 1.695 | 17.9 |
| 59.8 | 1.546 | 34.3 |
| 59.9 | 1.543 | 11.4 |
| 72.9 | 1.298 | 22.4 |
| 79.0 | 1.212 | 14.7 |
| 82.7 | 1.167 | 14.3 |
| 88.6 | 1.103 | 8.3 |

No. 4
Diffraction record for K3RhF8. The powder diffraction line list is simulated, not measured: it uses a DFT-relaxed cell (GGA-PBE, Alexandria) and Cu Kα (λ = 1.5418 Å).

Cell and atoms:
```
data_K3RhF8
_cell_length_a 7.049
_cell_length_b 7.049
_cell_length_c 7.049
_cell_angle_alpha 130.66
_cell_angle_beta 130.66
_cell_angle_gamma 72.35
_symmetry_space_group_name_H-M 'P 1'
_symmetry_Int_Tables_number 1
loop_
_symmetry_equiv_pos_as_xyz
'x,y,z'
loop_
_atom_site_label
_atom_site_fract_x
_atom_site_fract_y
_atom_site_fract_z
K1 0.000 0.000 0.000
K2 0.250 0.750 0.500
K3 0.750 0.250 0.500
Rh1 0.500 0.500 0.000
F1 0.196 0.196 0.599
F2 0.196 0.597 0.000
F3 0.403 0.403 0.599
F4 0.403 0.804 0.000
F5 0.597 0.196 0.000
F6 0.597 0.597 0.401
F7 0.804 0.403 0.000
F8 0.804 0.804 0.401
```

Principal peaks in the range 2θ = 15–90°, low angle first:
| Position (°2θ) | d [Å] | I (rel.) |
| --- | --- | --- |
| 15.6 | 5.690 | 19.0 |
| 17.0 | 5.227 | 58.3 |
| 21.4 | 4.161 | 9.8 |
| 26.5 | 3.359 | 100.0 |
| 43.5 | 2.080 | 24.3 |
| 44.3 | 2.045 | 47.6 |
| 51.7 | 1.769 | 24.8 |
| 53.1 | 1.726 | 11.4 |
| 57.0 | 1.615 | 8.0 |
| 69.8 | 1.347 | 6.8 |
| 71.0 | 1.328 | 11.8 |
| 80.4 | 1.194 | 8.6 |

No. 5
Diffraction record for Hf5Cu3. The powder diffraction line list is simulated, not measured: it uses a DFT-relaxed cell (GGA-PBE, Alexandria) and Cu Kα (λ = 1.5418 Å).

Cell and atoms:
```
data_Hf5Cu3
_cell_length_a 3.165
_cell_length_b 3.165
_cell_length_c 14.666
_cell_angle_alpha 90.00
_cell_angle_beta 90.00
_cell_angle_gamma 90.00
_symmetry_space_group_name_H-M 'P 1'
_symmetry_Int_Tables_number 1
loop_
_symmetry_equiv_pos_as_xyz
'x,y,z'
loop_
_atom_site_label
_atom_site_fract_x
_atom_site_fract_y
_atom_site_fract_z
Hf1 0.000 0.000 0.000
Hf2 0.000 0.000 0.237
Hf3 0.000 0.000 0.763
Hf4 0.500 0.500 0.380
Hf5 0.500 0.500 0.620
Cu1 0.000 0.000 0.500
Cu2 0.500 0.500 0.115
Cu3 0.500 0.500 0.885
```

Principal peaks in the range 2θ = 15–90°, low angle first:
| Position (°2θ) | d [Å] | I (rel.) |
| --- | --- | --- |
| 28.9 | 3.094 | 14.5 |
| 30.5 | 2.933 | 6.3 |
| 37.5 | 2.396 | 100.0 |
| 40.3 | 2.238 | 43.1 |
| 49.7 | 1.833 | 9.7 |
| 51.4 | 1.779 | 6.2 |
| 58.3 | 1.582 | 14.5 |
| 64.3 | 1.449 | 5.2 |
| 65.9 | 1.418 | 16.5 |
| 71.4 | 1.320 | 30.0 |
| 80.1 | 1.198 | 9.5 |
| 85.1 | 1.140 | 6.4 |

No. 6
Diffraction record for Nd3HSe2. The powder diffraction line list is simulated, not measured: it uses a DFT-relaxed cell (GGA-PBE, Alexandria) and Cu Kα (λ = 1.5418 Å).

Cell and atoms:
```
data_Nd3HSe2
_cell_length_a 7.985
_cell_length_b 7.985
_cell_length_c 5.975
_cell_angle_alpha 90.00
_cell_angle_beta 90.00
_cell_angle_gamma 60.96
_symmetry_space_group_name_H-M 'P 1'
_symmetry_Int_Tables_number 1
loop_
_symmetry_equiv_pos_as_xyz
'x,y,z'
loop_
_atom_site_label
_atom_site_fract_x
_atom_site_fract_y
_atom_site_fract_z
Nd1 0.096 0.904 0.500
Nd2 0.145 0.554 0.991
Nd3 0.446 0.855 0.991
Nd4 0.554 0.145 0.491
Nd5 0.855 0.446 0.491
Nd6 0.904 0.096 0.000
H1 0.180 0.820 0.117
H2 0.820 0.180 0.617
Se1 0.187 0.501 0.492
Se2 0.499 0.813 0.492
Se3 0.501 0.187 0.992
Se4 0.813 0.499 0.992
```

Principal peaks in the range 2θ = 15–90°, low angle first:
| Position (°2θ) | d [Å] | I (rel.) |
| --- | --- | --- |
| 21.9 | 4.051 | 40.6 |
| 22.3 | 3.992 | 96.2 |
| 26.9 | 3.319 | 68.1 |
| 29.9 | 2.988 | 100.0 |
| 34.2 | 2.622 | 34.0 |
| 37.1 | 2.422 | 45.6 |
| 37.6 | 2.392 | 55.6 |
| 38.7 | 2.327 | 44.7 |
| 39.3 | 2.294 | 37.7 |
| 46.1 | 1.971 | 29.6 |
| 49.7 | 1.836 | 49.0 |
| 50.1 | 1.819 | 38.4 |

No. 7
Diffraction record for Li2AcAsN. The powder diffraction line list is simulated, not measured: it uses a DFT-relaxed cell (GGA-PBE, Alexandria) and Cu Kα (λ = 1.5418 Å).

Cell and atoms:
```
data_Li2AcAsN
_cell_length_a 6.557
_cell_length_b 6.557
_cell_length_c 6.557
_cell_angle_alpha 121.99
_cell_angle_beta 121.99
_cell_angle_gamma 86.59
_symmetry_space_group_name_H-M 'P 1'
_symmetry_Int_Tables_number 1
loop_
_symmetry_equiv_pos_as_xyz
'x,y,z'
loop_
_atom_site_label
_atom_site_fract_x
_atom_site_fract_y
_atom_site_fract_z
Li1 0.167 0.667 0.834
Li2 0.333 0.167 0.500
Li3 0.667 0.833 0.500
Li4 0.833 0.333 0.166
Ac1 0.250 0.250 0.000
Ac2 0.750 0.750 0.000
As1 0.250 0.750 0.500
As2 0.750 0.250 0.500
N1 0.000 0.000 0.000
N2 0.500 0.500 0.000
```

Principal peaks in the range 2θ = 15–90°, low angle first:
| Position (°2θ) | d [Å] | I (rel.) |
| --- | --- | --- |
| 18.6 | 4.773 | 95.8 |
| 19.7 | 4.496 | 53.2 |
| 27.2 | 3.273 | 34.9 |
| 28.1 | 3.179 | 91.8 |
| 33.9 | 2.646 | 100.0 |
| 37.7 | 2.386 | 23.2 |
| 40.1 | 2.248 | 37.2 |
| 44.5 | 2.034 | 45.2 |
| 47.6 | 1.909 | 43.1 |
| 56.2 | 1.636 | 27.7 |
| 65.6 | 1.422 | 32.9 |
| 68.9 | 1.363 | 25.6 |

No. 8
Diffraction record for Sm4CO2. The powder diffraction line list is simulated, not measured: it uses a DFT-relaxed cell (GGA-PBE, Alexandria) and Cu Kα (λ = 1.5418 Å).

Cell and atoms:
```
data_Sm4CO2
_cell_length_a 7.329
_cell_length_b 7.329
_cell_length_c 10.354
_cell_angle_alpha 90.00
_cell_angle_beta 90.00
_cell_angle_gamma 90.00
_symmetry_space_group_name_H-M 'P 1'
_symmetry_Int_Tables_number 1
loop_
_symmetry_equiv_pos_as_xyz
'x,y,z'
loop_
_atom_site_label
_atom_site_fract_x
_atom_site_fract_y
_atom_site_fract_z
Sm1 0.004 0.243 0.247
Sm2 0.004 0.757 0.253
Sm3 0.242 0.479 0.996
Sm4 0.242 0.521 0.504
Sm5 0.243 0.004 0.503
Sm6 0.243 0.996 0.997
Sm7 0.479 0.242 0.754
Sm8 0.479 0.758 0.746
Sm9 0.521 0.242 0.246
Sm10 0.521 0.758 0.254
Sm11 0.757 0.004 0.497
Sm12 0.757 0.996 0.003
Sm13 0.758 0.479 0.004
Sm14 0.758 0.521 0.496
Sm15 0.996 0.243 0.753
Sm16 0.996 0.757 0.747
C1 0.244 0.500 0.750
C2 0.500 0.244 0.000
C3 0.500 0.756 0.500
C4 0.756 0.500 0.250
O1 0.000 0.246 0.000
O2 0.000 0.754 0.500
O3 0.246 0.000 0.750
O4 0.265 0.265 0.375
O5 0.265 0.735 0.125
O6 0.735 0.265 0.625
O7 0.735 0.735 0.875
O8 0.754 0.000 0.250
```

Principal peaks in the range 2θ = 15–90°, low angle first:
| Position (°2θ) | d [Å] | I (rel.) |
| --- | --- | --- |
| 29.9 | 2.991 | 100.0 |
| 34.6 | 2.590 | 57.7 |
| 35.7 | 2.513 | 1.3 |
| 45.5 | 1.994 | 1.8 |
| 49.8 | 1.832 | 43.8 |
| 56.9 | 1.618 | 1.6 |
| 59.1 | 1.562 | 41.8 |
| 62.1 | 1.495 | 13.3 |
| 73.1 | 1.295 | 6.4 |
| 80.9 | 1.188 | 16.1 |
| 83.4 | 1.158 | 16.4 |
| 89.2 | 1.098 | 1.2 |

No. 9
Diffraction record for Pr3Nd5Ru2. The powder diffraction line list is simulated, not measured: it uses a DFT-relaxed cell (GGA-PBE, Alexandria) and Cu Kα (λ = 1.5418 Å).

Cell and atoms:
```
data_Pr3Nd5Ru2
_cell_length_a 10.189
_cell_length_b 10.189
_cell_length_c 10.189
_cell_angle_alpha 118.06
_cell_angle_beta 81.81
_cell_angle_gamma 132.22
_symmetry_space_group_name_H-M 'P 1'
_symmetry_Int_Tables_number 1
loop_
_symmetry_equiv_pos_as_xyz
'x,y,z'
loop_
_atom_site_label
_atom_site_fract_x
_atom_site_fract_y
_atom_site_fract_z
Pr1 0.127 0.737 0.864
Pr2 0.250 0.250 0.000
Pr3 0.373 0.237 0.609
Pr4 0.627 0.763 0.391
Pr5 0.750 0.750 0.000
Pr6 0.873 0.263 0.136
Nd1 0.003 0.750 0.253
Nd2 0.123 0.263 0.386
Nd3 0.250 0.750 0.500
Nd4 0.377 0.763 0.140
Nd5 0.497 0.750 0.747
Nd6 0.503 0.250 0.253
Nd7 0.623 0.237 0.860
Nd8 0.750 0.250 0.500
Nd9 0.877 0.737 0.614
Nd10 0.997 0.250 0.747
Ru1 0.133 0.001 0.134
Ru2 0.367 0.501 0.868
Ru3 0.633 0.499 0.132
Ru4 0.867 0.999 0.866
```

Principal peaks in the range 2θ = 15–90°, low angle first:
| Position (°2θ) | d [Å] | I (rel.) |
| --- | --- | --- |
| 27.5 | 3.243 | 69.4 |
| 28.8 | 3.103 | 62.3 |
| 31.8 | 2.815 | 100.0 |
| 34.2 | 2.622 | 45.1 |
| 43.9 | 2.063 | 20.7 |
| 47.2 | 1.925 | 16.2 |
| 47.4 | 1.919 | 63.5 |
| 53.3 | 1.718 | 22.5 |
| 55.5 | 1.655 | 20.2 |
| 56.8 | 1.621 | 18.4 |
| 59.6 | 1.552 | 15.3 |
| 76.9 | 1.240 | 15.5 |